1.
Simulated PXRD pattern of LiFeF3 for Cu Kα X-rays, from a cell relaxed with GGA+U.

Cell lengths 6.967, 7.915, 12.149 Å; angles 106.15, 94.39, 90.63 degrees
Element x y z (fractional)
Li  0.006  0.195  0.140
Li  0.128  0.260  0.471
Li  0.198  0.460  0.742
Li  0.242  0.732  0.086
Li  0.346  0.910  0.346
Li  0.654  0.090  0.654
Li  0.758  0.268  0.914
Li  0.802  0.540  0.258
Li  0.872  0.740  0.529
Li  0.994  0.805  0.860
Fe  0.070  0.071  0.675
Fe  0.258  0.274  0.975
Fe  0.310  0.476  0.267
Fe  0.383  0.692  0.560
Fe  0.457  0.902  0.845
Fe  0.543  0.098  0.155
Fe  0.617  0.308  0.440
Fe  0.690  0.524  0.733
Fe  0.742  0.726  0.025
Fe  0.930  0.929  0.325
F  0.017  0.727  0.993
F  0.035  0.417  0.246
F  0.098  0.285  0.620
F  0.127  0.790  0.605
F  0.158  0.860  0.222
F  0.173  0.025  0.440
F  0.184  0.966  0.849
F  0.266  0.281  0.813
F  0.282  0.189  0.136
F  0.332  0.511  0.102
F  0.335  0.411  0.443
F  0.399  0.706  0.391
F  0.409  0.619  0.730
F  0.467  0.843  0.030
F  0.476  0.931  0.681
F  0.524  0.069  0.319
F  0.533  0.157  0.970
F  0.591  0.381  0.270
F  0.601  0.294  0.609
F  0.665  0.589  0.557
F  0.668  0.489  0.898
F  0.718  0.811  0.864
F  0.734  0.719  0.187
F  0.816  0.034  0.151
F  0.827  0.975  0.560
F  0.842  0.140  0.778
F  0.873  0.210  0.395
F  0.902  0.715  0.380
F  0.965  0.583  0.754
F  0.983  0.273  0.007

Largest 10 diffraction maxima, by angle, 10 to 80 degrees two-theta:
d [Å], I_rel
5.106, 100
3.445, 22
3.198, 15
3.011, 21
2.838, 25
2.289, 18
2.235, 18
2.215, 14
2.188, 21
1.739, 11

---

2.
Simulated PXRD pattern of Li2FeF5 for Cu Kα X-rays, from a cell relaxed with GGA+U.

Cell lengths 5.771, 5.771, 7.262 Å; angles 109.40, 109.40, 52.49 degrees
Element x y z (fractional)
Li  0.128  0.158  0.246
Li  0.158  0.128  0.746
Li  0.842  0.872  0.254
Li  0.872  0.842  0.754
Fe  0.500  0.500  0.000
Fe  0.500  0.500  0.500
F  0.095  0.736  0.543
F  0.169  0.472  0.855
F  0.264  0.905  0.957
F  0.322  0.678  0.250
F  0.472  0.169  0.355
F  0.528  0.831  0.645
F  0.678  0.322  0.750
F  0.736  0.095  0.043
F  0.831  0.528  0.145
F  0.905  0.264  0.457

Largest 10 diffraction maxima, by angle, 10 to 80 degrees two-theta:
d [Å], I_rel
4.808, 93
4.508, 100
3.420, 46
2.958, 46
2.714, 25
2.283, 33
2.258, 38
2.168, 28
1.759, 26
1.463, 24